No. 1
Ce6PuPb5: simulated X-ray diffraction stick pattern (a wavelength of 1.5418 Å), based on the GGA-PBE geometry in Alexandria.

Most intense lines, 5 to 70 degrees two-theta, most intense first:
index  Position (°2θ)  I_rel
2 2 1  31.92  100
6 0 0  34.06  21
2 0 -2  36.17  18
0 4 0  40.59  13
6 4 0  54.00  11
2 6 1  68.44  11
2 4 -2  55.49  11
10 2 -1  59.70  8
8 2 1  59.54  8
0 2 3  62.33  8

Structural model:
```
data_Ce6PuPb5
_chemical_formula_sum 'Ce12 Pu2 Pb10'
_cell_length_a 16.537
_cell_length_b 8.890
_cell_length_c 4.967
_cell_angle_alpha 90.00
_cell_angle_beta 107.23
_cell_angle_gamma 90.00
_symmetry_space_group_name_H-M 'C 1 2/m 1'
_symmetry_Int_Tables_number 12
loop_
_symmetry_equiv_pos_as_xyz
'x,y,z'
'-x,-y,-z'
'-x,y,-z'
'x,-y,z'
'x+1/2,y+1/2,z'
'-x+1/2,-y+1/2,-z'
'-x+1/2,y+1/2,-z'
'x+1/2,-y+1/2,z'
loop_
_atom_site_label
_atom_site_fract_x
_atom_site_fract_y
_atom_site_fract_z
Ce1 0.000 0.234 0.000
Ce2 0.173 0.248 0.670
Pu1 0.000 0.000 0.500
Pb1 0.000 0.500 0.500
Pb2 0.160 0.000 0.158
Pb3 0.160 0.500 0.158
```

---

No. 2
CePu5Pb3: simulated X-ray diffraction stick pattern (a wavelength of 1.5418 Å), based on the GGA-PBE geometry in Alexandria.

Most intense lines, 5 to 70 degrees two-theta, most intense first:
index  Position (°2θ)  I_rel
2 1 3  30.59  100
2 0 4  33.97  70
2 2 0  29.03  48
3 1 0  32.54  36
4 1 3  47.75  27
3 2 1  37.90  19
4 1 1  43.42  17
5 1 4  61.06  16
5 3 0  62.23  14
6 1 1  65.67  13

Structural model:
```
data_CePu5Pb3
_chemical_formula_sum 'Ce4 Pu20 Pb12'
_cell_length_a 8.700
_cell_length_b 8.700
_cell_length_c 13.280
_cell_angle_alpha 90.00
_cell_angle_beta 90.00
_cell_angle_gamma 90.00
_symmetry_space_group_name_H-M 'I 4/m c m'
_symmetry_Int_Tables_number 140
_symmetry_space_group_name_Hall '-I 4 2c'
loop_
_atom_site_label
_atom_site_fract_x
_atom_site_fract_y
_atom_site_fract_z
Ce1 0.000 0.500 0.250
Pu1 0.000 0.000 0.000
Pu2 0.192 0.308 0.152
Pb1 0.000 0.000 0.250
Pb2 0.120 0.380 0.500
```

---

No. 3
Ce5PuPb2: simulated X-ray diffraction stick pattern (a wavelength of 1.5418 Å), based on the GGA-PBE geometry in Alexandria.

Most intense lines, 5 to 70 degrees two-theta, most intense first:
index  Position (°2θ)  I_rel
2 0 2  33.25  100
0 2 2  32.08  97
2 2 0  37.68  65
2 2 4  54.85  40
0 0 4  38.35  31
4 2 2  65.91  25
2 4 2  63.81  20
4 0 4  69.82  14
1 2 1  30.65  13
4 0 0  55.89  12

Structural model:
```
data_Ce5PuPb2
_chemical_formula_sum 'Ce10 Pu2 Pb4'
_cell_length_a 6.581
_cell_length_b 6.940
_cell_length_c 9.388
_cell_angle_alpha 90.00
_cell_angle_beta 90.00
_cell_angle_gamma 90.00
_symmetry_space_group_name_H-M 'I 2 2 2'
_symmetry_Int_Tables_number 23
loop_
_symmetry_equiv_pos_as_xyz
'x,y,z'
'-x,-y,z'
'x,-y,-z'
'-x,y,-z'
'x+1/2,y+1/2,z+1/2'
'-x+1/2,-y+1/2,z+1/2'
'x+1/2,-y+1/2,-z+1/2'
'-x+1/2,y+1/2,-z+1/2'
loop_
_atom_site_label
_atom_site_fract_x
_atom_site_fract_y
_atom_site_fract_z
Ce1 0.000 0.000 0.000
Ce2 0.244 0.294 0.729
Pu1 0.000 0.500 0.500
Pb1 0.000 0.000 0.500
Pb2 0.000 0.500 0.000
```

---

No. 4
CePuRuPb: simulated X-ray diffraction stick pattern (a wavelength of 1.5418 Å), based on the GGA-PBE geometry in Alexandria.

Most intense lines, 5 to 70 degrees two-theta, most intense first:
index  Position (°2θ)  I_rel
1 0 2  33.76  100
1 1 0  38.21  44
2 1 2  66.24  29
1 0 1  28.66  21
1 1 3  49.67  18
2 0 0  55.15  15
0 0 4  41.05  14
0 0 3  30.51  14
1 0 5  59.45  12
1 1 4  57.34  12

Structural model:
```
data_CePuRuPb
_chemical_formula_sum 'Ce1 Pu1 Ru1 Pb1'
_cell_length_a 3.331
_cell_length_b 3.331
_cell_length_c 8.791
_cell_angle_alpha 90.00
_cell_angle_beta 90.00
_cell_angle_gamma 90.00
_symmetry_space_group_name_H-M 'P 4 m m'
_symmetry_Int_Tables_number 99
loop_
_symmetry_equiv_pos_as_xyz
'x,y,z'
'-y,x,z'
'-x,-y,z'
'y,-x,z'
'-x,y,z'
'y,x,z'
'x,-y,z'
'-y,-x,z'
loop_
_atom_site_label
_atom_site_fract_x
_atom_site_fract_y
_atom_site_fract_z
Ce1 0.000 0.000 0.000
Pu1 0.000 0.000 0.598
Ru1 0.500 0.500 0.801
Pb1 0.500 0.500 0.302
```

---

No. 5
CePuTcPb: simulated X-ray diffraction stick pattern (a wavelength of 1.5418 Å), based on the GGA-PBE geometry in Alexandria.

Most intense lines, 5 to 70 degrees two-theta, most intense first:
index  Position (°2θ)  I_rel
1 0 2  33.73  100
1 1 0  38.51  44
2 1 2  66.64  29
1 0 1  28.80  22
1 1 3  49.57  16
0 0 3  30.00  15
2 0 0  55.60  15
1 0 5  58.73  13
1 1 4  57.03  11
0 0 1  9.90  10

Structural model:
```
data_CePuTcPb
_chemical_formula_sum 'Ce1 Pu1 Tc1 Pb1'
_cell_length_a 3.306
_cell_length_b 3.306
_cell_length_c 8.936
_cell_angle_alpha 90.00
_cell_angle_beta 90.00
_cell_angle_gamma 90.00
_symmetry_space_group_name_H-M 'P 4 m m'
_symmetry_Int_Tables_number 99
loop_
_symmetry_equiv_pos_as_xyz
'x,y,z'
'-y,x,z'
'-x,-y,z'
'y,-x,z'
'-x,y,z'
'y,x,z'
'x,-y,z'
'-y,-x,z'
loop_
_atom_site_label
_atom_site_fract_x
_atom_site_fract_y
_atom_site_fract_z
Ce1 0.000 0.000 0.000
Pu1 0.000 0.000 0.602
Tc1 0.500 0.500 0.799
Pb1 0.500 0.500 0.304
```

---

No. 6
Ce3RhPb: simulated X-ray diffraction stick pattern (a wavelength of 1.5418 Å), based on the GGA-PBE geometry in Alexandria.

Most intense lines, 5 to 70 degrees two-theta, most intense first:
index  Position (°2θ)  I_rel
2 0 0  33.25  100
1 1 1  28.70  98
2 2 0  47.74  73
3 1 1  56.66  45
1 1 0  23.35  27
2 2 2  59.42  25
2 1 1  41.03  13
4 0 0  69.82  12
3 2 1  64.73  7
3 1 0  53.80  6

Structural model:
```
data_Ce3RhPb
_chemical_formula_sum 'Ce3 Rh1 Pb1'
_cell_length_a 5.388
_cell_length_b 5.388
_cell_length_c 5.388
_cell_angle_alpha 90.00
_cell_angle_beta 90.00
_cell_angle_gamma 90.00
_symmetry_space_group_name_H-M 'P m -3 m'
_symmetry_Int_Tables_number 221
_symmetry_space_group_name_Hall '-P 4 2 3'
loop_
_atom_site_label
_atom_site_fract_x
_atom_site_fract_y
_atom_site_fract_z
Ce1 0.000 0.000 0.500
Rh1 0.000 0.000 0.000
Pb1 0.500 0.500 0.500
```

---

No. 7
Ce4RuPb5: simulated X-ray diffraction stick pattern (a wavelength of 1.5418 Å), based on the GGA-PBE geometry in Alexandria.

Most intense lines, 5 to 70 degrees two-theta, most intense first:
index  Position (°2θ)  I_rel
1 1 2  32.93  100
5 1 -2  36.64  83
0 2 0  35.66  68
6 0 0  31.67  60
3 1 1  28.88  54
3 1 0  23.67  32
1 1 -2  30.67  24
6 2 0  48.42  23
3 1 -1  24.95  23
2 0 -2  25.18  22

Structural model:
```
data_Ce4RuPb5
_chemical_formula_sum 'Ce8 Ru2 Pb10'
_cell_length_a 17.543
_cell_length_b 5.035
_cell_length_c 7.160
_cell_angle_alpha 90.00
_cell_angle_beta 104.86
_cell_angle_gamma 90.00
_symmetry_space_group_name_H-M 'C 1 2/m 1'
_symmetry_Int_Tables_number 12
loop_
_symmetry_equiv_pos_as_xyz
'x,y,z'
'-x,-y,-z'
'-x,y,-z'
'x,-y,z'
'x+1/2,y+1/2,z'
'-x+1/2,-y+1/2,-z'
'-x+1/2,y+1/2,-z'
'x+1/2,-y+1/2,z'
loop_
_atom_site_label
_atom_site_fract_x
_atom_site_fract_y
_atom_site_fract_z
Ce1 0.023 0.000 0.237
Ce2 0.143 0.500 0.964
Ru1 0.000 0.500 0.000
Pb1 0.000 0.500 0.500
Pb2 0.167 0.000 0.667
Pb3 0.210 0.000 0.260
```

---

No. 8
Ce4RuPb: simulated X-ray diffraction stick pattern (a wavelength of 1.5418 Å), based on the GGA-PBE geometry in Alexandria.

Most intense lines, 5 to 70 degrees two-theta, most intense first:
index  Position (°2θ)  I_rel
1 5 0  33.44  100
2 2 1  36.51  81
1 3 1  30.12  77
2 2 -2  34.67  61
1 1 -2  30.45  60
1 3 -2  35.29  52
3 1 -1  34.87  51
3 3 -2  43.43  48
2 2 -1  26.71  43
0 4 1  29.57  33

Structural model:
```
data_Ce4RuPb
_chemical_formula_sum 'Ce16 Ru4 Pb4'
_cell_length_a 7.860
_cell_length_b 14.411
_cell_length_c 5.997
_cell_angle_alpha 90.00
_cell_angle_beta 112.33
_cell_angle_gamma 90.00
_symmetry_space_group_name_H-M 'C 1 2/c 1'
_symmetry_Int_Tables_number 15
loop_
_symmetry_equiv_pos_as_xyz
'x,y,z'
'-x,-y,-z'
'-x,y,-z+1/2'
'x,-y,z+1/2'
'x+1/2,y+1/2,z'
'-x+1/2,-y+1/2,-z'
'-x+1/2,y+1/2,-z+1/2'
'x+1/2,-y+1/2,z+1/2'
loop_
_atom_site_label
_atom_site_fract_x
_atom_site_fract_y
_atom_site_fract_z
Ce1 0.056 0.192 0.061
Ce2 0.232 0.418 0.357
Ru1 0.000 0.013 0.750
Pb1 0.000 0.386 0.750
```

---

No. 9
TbCeRuPb: simulated X-ray diffraction stick pattern (a wavelength of 1.5418 Å), based on the GGA-PBE geometry in Alexandria.

Most intense lines, 5 to 70 degrees two-theta, most intense first:
index  Position (°2θ)  I_rel
1 0 2  33.75  100
1 1 0  37.39  45
2 1 2  65.14  30
1 0 1  28.26  18
2 0 0  53.92  17
1 1 4  57.89  12
1 1 3  49.72  12
0 0 3  31.56  10
1 0 5  60.90  10
0 0 4  42.52  8

Structural model:
```
data_TbCeRuPb
_chemical_formula_sum 'Tb1 Ce1 Ru1 Pb1'
_cell_length_a 3.401
_cell_length_b 3.401
_cell_length_c 8.505
_cell_angle_alpha 90.00
_cell_angle_beta 90.00
_cell_angle_gamma 90.00
_symmetry_space_group_name_H-M 'P 4 m m'
_symmetry_Int_Tables_number 99
loop_
_symmetry_equiv_pos_as_xyz
'x,y,z'
'-y,x,z'
'-x,-y,z'
'y,-x,z'
'-x,y,z'
'y,x,z'
'x,-y,z'
'-y,-x,z'
loop_
_atom_site_label
_atom_site_fract_x
_atom_site_fract_y
_atom_site_fract_z
Tb1 0.000 0.000 0.000
Ce1 0.000 0.000 0.594
Ru1 0.500 0.500 0.795
Pb1 0.500 0.500 0.292
```

---

No. 10
Ce2ZnRuPb: simulated X-ray diffraction stick pattern (a wavelength of 1.5418 Å), based on the GGA-PBE geometry in Alexandria.

Most intense lines, 5 to 70 degrees two-theta, most intense first:
index  Position (°2θ)  I_rel
2 1 1  37.04  100
2 1 -2  35.51  97
0 1 2  32.17  97
1 1 -2  31.64  93
0 0 3  35.64  76
2 0 1  29.72  73
0 2 0  44.03  71
3 1 -1  40.75  66
0 1 1  24.65  46
0 2 3  57.88  38

Structural model:
```
data_Ce2ZnRuPb
_chemical_formula_sum 'Ce4 Zn2 Ru2 Pb2'
_cell_length_a 7.883
_cell_length_b 4.113
_cell_length_c 7.950
_cell_angle_alpha 90.00
_cell_angle_beta 108.09
_cell_angle_gamma 90.00
_symmetry_space_group_name_H-M 'P 1 21/m 1'
_symmetry_Int_Tables_number 11
loop_
_symmetry_equiv_pos_as_xyz
'x,y,z'
'-x,-y,-z'
'-x,y+1/2,-z'
'x,-y+1/2,z'
loop_
_atom_site_label
_atom_site_fract_x
_atom_site_fract_y
_atom_site_fract_z
Ce1 0.107 0.250 0.336
Ce2 0.284 0.250 0.987
Zn1 0.436 0.750 0.345
Ru1 0.127 0.750 0.106
Pb1 0.319 0.750 0.670
```

---

No. 11
Ce3Sb4Pb: simulated X-ray diffraction stick pattern (a wavelength of 1.5418 Å), based on the GGA-PBE geometry in Alexandria.

Most intense lines, 5 to 70 degrees two-theta, most intense first:
index  Position (°2θ)  I_rel
2 0 0  27.85  100
2 2 0  39.80  77
4 2 0  65.12  36
2 2 2  49.27  28
4 0 0  57.55  13
1 1 1  24.06  3
3 1 1  47.05  2
1 0 0  13.82  1
1 1 0  19.60  1
2 1 0  31.22  1

Structural model:
```
data_Ce3Sb4Pb
_chemical_formula_sum 'Ce3 Sb4 Pb1'
_cell_length_a 6.406
_cell_length_b 6.406
_cell_length_c 6.406
_cell_angle_alpha 90.00
_cell_angle_beta 90.00
_cell_angle_gamma 90.00
_symmetry_space_group_name_H-M 'P m -3 m'
_symmetry_Int_Tables_number 221
_symmetry_space_group_name_Hall '-P 4 2 3'
loop_
_atom_site_label
_atom_site_fract_x
_atom_site_fract_y
_atom_site_fract_z
Ce1 0.000 0.000 0.500
Sb1 0.000 0.000 0.000
Sb2 0.000 0.500 0.500
Pb1 0.500 0.500 0.500
```

---

No. 12
Ce5Sb3Pb: simulated X-ray diffraction stick pattern (a wavelength of 1.5418 Å), based on the GGA-PBE geometry in Alexandria.

Most intense lines, 5 to 70 degrees two-theta, most intense first:
index  Position (°2θ)  I_rel
2 0 4  30.80  100
2 1 3  29.28  37
2 2 8  54.78  23
3 1 2  36.26  12
0 0 8  44.20  11
2 1 5  36.73  10
4 1 3  48.62  9
3 1 6  48.33  9
3 2 1  39.93  8
4 4 4  68.54  7

Structural model:
```
data_Ce5Sb3Pb
_chemical_formula_sum 'Ce20 Sb12 Pb4'
_cell_length_a 8.219
_cell_length_b 8.219
_cell_length_c 16.394
_cell_angle_alpha 90.00
_cell_angle_beta 90.00
_cell_angle_gamma 90.00
_symmetry_space_group_name_H-M 'I 4/m c m'
_symmetry_Int_Tables_number 140
_symmetry_space_group_name_Hall '-I 4 2c'
loop_
_atom_site_label
_atom_site_fract_x
_atom_site_fract_y
_atom_site_fract_z
Ce1 0.000 0.000 0.000
Ce2 0.200 0.300 0.136
Sb1 0.000 0.000 0.250
Sb2 0.124 0.376 0.500
Pb1 0.000 0.500 0.250
```

---

No. 13
Ce2SbPb2: simulated X-ray diffraction stick pattern (a wavelength of 1.5418 Å), based on the GGA-PBE geometry in Alexandria.

Most intense lines, 5 to 70 degrees two-theta, most intense first:
index  Position (°2θ)  I_rel
1 1 2  31.19  100
2 0 0  41.69  35
1 1 4  36.71  30
1 0 5  34.45  25
2 0 6  54.14  23
3 1 2  69.58  20
0 0 4  21.83  19
0 0 6  33.00  16
1 1 10  64.83  15
0 0 2  10.86  14

Structural model:
```
data_Ce2SbPb2
_chemical_formula_sum 'Ce4 Sb2 Pb4'
_cell_length_a 4.333
_cell_length_b 4.333
_cell_length_c 16.287
_cell_angle_alpha 90.00
_cell_angle_beta 90.00
_cell_angle_gamma 90.00
_symmetry_space_group_name_H-M 'I 4/m m m'
_symmetry_Int_Tables_number 139
_symmetry_space_group_name_Hall '-I 4 2'
loop_
_atom_site_label
_atom_site_fract_x
_atom_site_fract_y
_atom_site_fract_z
Ce1 0.000 0.000 0.087
Sb1 0.000 0.000 0.500
Pb1 0.000 0.500 0.250
```

---

No. 14
Ce6Sb5Pb: simulated X-ray diffraction stick pattern (a wavelength of 1.5418 Å), based on the GGA-PBE geometry in Alexandria.

Most intense lines, 5 to 70 degrees two-theta, most intense first:
index  Position (°2θ)  I_rel
1 3 1  27.98  100
2 0 2  39.99  77
4 6 0  65.45  36
4 0 0  49.51  28
2 6 2  57.84  13
1 1 0  13.69  1
1 1 -1  15.36  1

Structural model:
```
data_Ce6Sb5Pb
_chemical_formula_sum 'Ce12 Sb10 Pb2'
_cell_length_a 7.810
_cell_length_b 13.527
_cell_length_c 7.811
_cell_angle_alpha 90.00
_cell_angle_beta 109.46
_cell_angle_gamma 90.00
_symmetry_space_group_name_H-M 'C 1 2/m 1'
_symmetry_Int_Tables_number 12
loop_
_symmetry_equiv_pos_as_xyz
'x,y,z'
'-x,-y,-z'
'-x,y,-z'
'x,-y,z'
'x+1/2,y+1/2,z'
'-x+1/2,-y+1/2,-z'
'-x+1/2,y+1/2,-z'
'x+1/2,-y+1/2,z'
loop_
_atom_site_label
_atom_site_fract_x
_atom_site_fract_y
_atom_site_fract_z
Ce1 0.248 0.000 0.251
Ce2 0.248 0.168 0.749
Sb1 0.000 0.000 0.500
Sb2 0.000 0.167 0.000
Sb3 0.000 0.334 0.500
Pb1 0.000 0.500 0.000
```